The following is a computed PXRD pattern of Ac2Y6Ho5. It was derived from a cell relaxed with GGA-PBE, using Cu Kα.
Kinematic intensities with the Lorentz-polarization factor, no thermal factor.

Structure:
```
Ac2Y6Ho5
1.0
11.969 0.000 0.000
0.000 20.361 0.000
0.000 0.000 3.648
Ac Y Ho
4 12 10
direct
0.159 0.221 0.000 Ac
0.341 0.721 0.000 Ac
0.659 0.279 0.000 Ac
0.841 0.779 0.000 Ac
0.058 0.924 0.000 Y
0.078 0.637 0.000 Y
0.181 0.382 0.500 Y
0.319 0.882 0.500 Y
0.422 0.137 0.000 Y
0.442 0.424 0.000 Y
0.558 0.576 0.000 Y
0.578 0.863 0.000 Y
0.681 0.118 0.500 Y
0.819 0.618 0.500 Y
0.922 0.363 0.000 Y
0.942 0.076 0.000 Y
0.000 0.500 0.500 Ho
0.103 0.781 0.500 Ho
0.200 0.051 0.500 Ho
0.300 0.551 0.500 Ho
0.397 0.281 0.500 Ho
0.500 0.000 0.500 Ho
0.603 0.719 0.500 Ho
0.700 0.449 0.500 Ho
0.800 0.949 0.500 Ho
0.897 0.219 0.500 Ho
```

Most intense lines, 15° ≤ 2θ ≤ 90°, most intense first:
Position (°2θ), intensity
31.62, 1000
31.10, 526
30.19, 295
31.39, 190
35.89, 154
33.74, 144
53.10, 142
25.94, 137
50.01, 131
44.04, 117

The following is a computed PXRD pattern of LiIn2Ni. It was derived from a cell relaxed with GGA-PBE, using Cu Kα.
Kinematic intensities with the Lorentz-polarization factor, no thermal factor.

Structure:
```
LiIn2Ni
1.0
3.201 0.000 0.000
0.000 3.422 0.000
0.000 0.000 6.251
Li In Ni
1 2 1
direct
0.000 0.000 0.000 Li
0.500 0.500 0.263 In
0.500 0.500 0.737 In
0.000 0.000 0.500 Ni
```

Most intense lines, 15° ≤ 2θ ≤ 90°, most intense first:
Position (°2θ), intensity
38.51, 1000
39.03, 943
40.33, 858
26.04, 406
27.87, 342
69.13, 327
28.56, 310
71.77, 292
48.64, 281
72.79, 264

The following is a computed PXRD pattern of Ba3LiPt. It was derived from a cell relaxed with GGA-PBE, using Cu Kα.
Kinematic intensities with the Lorentz-polarization factor, no thermal factor.

Structure:
```
Ba3LiPt
1.0
7.567 -4.376 0.000
7.567 4.376 0.000
-4.781 0.000 14.340
Ba Li Pt
12 4 4
direct
0.145 0.146 0.854 Ba
0.146 0.145 0.354 Ba
0.164 0.664 0.914 Ba
0.336 0.836 0.586 Ba
0.354 0.355 0.645 Ba
0.355 0.354 0.145 Ba
0.645 0.646 0.855 Ba
0.646 0.645 0.355 Ba
0.664 0.164 0.414 Ba
0.836 0.336 0.086 Ba
0.854 0.855 0.646 Ba
0.855 0.854 0.146 Ba
0.124 0.623 0.374 Li
0.377 0.876 0.126 Li
0.623 0.124 0.874 Li
0.876 0.377 0.626 Li
0.000 0.500 0.000 Pt
0.250 0.750 0.750 Pt
0.500 0.000 0.500 Pt
0.750 0.250 0.250 Pt
```

Most intense lines, 15° ≤ 2θ ≤ 90°, most intense first:
Position (°2θ), intensity
28.70, 1000
32.28, 838
41.31, 660
32.55, 462
29.11, 362
23.97, 335
43.49, 260
43.52, 233
43.11, 228
48.27, 222

The following is a computed PXRD pattern of Sm2MnSi3Ni12. It was derived from a cell relaxed with GGA-PBE, using Cu Kα.
Kinematic intensities with the Lorentz-polarization factor, no thermal factor.

Structure:
```
Sm2MnSi3Ni12
1.0
3.035 1.752 8.254
-3.035 1.752 8.254
0.000 -3.504 8.254
Sm Mn Si Ni
2 1 3 12
direct
0.151 0.151 0.151 Sm
0.849 0.849 0.849 Sm
0.500 0.500 0.500 Mn
0.000 0.500 0.500 Si
0.500 0.000 0.500 Si
0.500 0.500 0.000 Si
0.090 0.090 0.687 Ni
0.090 0.687 0.090 Ni
0.147 0.568 0.568 Ni
0.313 0.910 0.910 Ni
0.432 0.432 0.853 Ni
0.432 0.853 0.432 Ni
0.568 0.147 0.568 Ni
0.568 0.568 0.147 Ni
0.687 0.090 0.090 Ni
0.853 0.432 0.432 Ni
0.910 0.313 0.910 Ni
0.910 0.910 0.313 Ni
```

Most intense lines, 15° ≤ 2θ ≤ 90°, most intense first:
Position (°2θ), intensity
31.41, 1000
37.17, 885
36.76, 553
46.28, 384
30.46, 381
40.26, 370
61.07, 369
57.11, 337
45.26, 325
43.74, 319